1.
The following is a computed PXRD pattern of Hf5Th. It was derived from DFT lattice parameters and positions (PBE), using Cu Kα, 1.54184 Å.
Lines closer than 0.1° are merged.

Crystal structure
```
data_Hf5Th
_cell_length_a 4.5558
_cell_length_b 13.8142
_cell_length_c 4.5411
_cell_angle_alpha 90.00
_cell_angle_beta 90.00
_cell_angle_gamma 90.00
_symmetry_space_group_name_H-M 'C m m m'
_symmetry_Int_Tables_number 65
_symmetry_space_group_name_Hall '-C 2 2'
loop_
_atom_site_label
_atom_site_fract_x
_atom_site_fract_y
_atom_site_fract_z
Hf1 0.0000 0.0000 0.0000
Hf2 0.0000 0.1717 0.5000
Hf3 0.0000 0.3281 0.0000
Th1 0.0000 0.5000 0.5000
```

Peak list (8 most intense, 15° ≤ 2θ ≤ 90°, by intensity)
Position (°2θ)  I_rel
34.0  100
39.1  17
39.6  17
39.7  17
68.2  14
68.4  13
67.6  13
71.6  12

2.
The following is a computed PXRD pattern of Np4Fe7Ge6. It was derived from DFT lattice parameters and positions (PBE), using Cu Kα, 1.54184 Å.
Lines closer than 0.1° are merged.

Crystal structure
```
data_Np4Fe7Ge6
_cell_length_a 8.1169
_cell_length_b 8.1169
_cell_length_c 8.1169
_cell_angle_alpha 90.00
_cell_angle_beta 90.00
_cell_angle_gamma 90.00
_symmetry_space_group_name_H-M 'I m -3 m'
_symmetry_Int_Tables_number 229
_symmetry_space_group_name_Hall '-I 4 2 3'
loop_
_atom_site_label
_atom_site_fract_x
_atom_site_fract_y
_atom_site_fract_z
Np1 0.2500 0.2500 0.2500
Fe1 0.0000 0.0000 0.0000
Fe2 0.0000 0.2500 0.5000
Ge1 0.0000 0.0000 0.3172
```

Peak list (8 most intense, 15° ≤ 2θ ≤ 90°, by intensity)
Position (°2θ)  I_rel
38.4  100
31.2  75
44.7  56
21.9  38
50.3  32
65.0  29
78.1  28
73.8  22

3.
The following is a computed PXRD pattern of Rb2Ni3Cl8. It was derived from DFT lattice parameters and positions (PBE), using Cu Kα, 1.54184 Å.
Lines closer than 0.1° are merged.

Crystal structure
```
data_Rb2Ni3Cl8
_cell_length_a 15.5392
_cell_length_b 7.2936
_cell_length_c 6.3121
_cell_angle_alpha 90.00
_cell_angle_beta 106.77
_cell_angle_gamma 90.00
_symmetry_space_group_name_H-M 'C 1 2/m 1'
_symmetry_Int_Tables_number 12
loop_
_symmetry_equiv_pos_as_xyz
'x,y,z'
'-x,-y,-z'
'-x,y,-z'
'x,-y,z'
'x+1/2,y+1/2,z'
'-x+1/2,-y+1/2,-z'
'-x+1/2,y+1/2,-z'
'x+1/2,-y+1/2,z'
loop_
_atom_site_label
_atom_site_fract_x
_atom_site_fract_y
_atom_site_fract_z
Rb1 0.2369 0.0000 0.1757
Ni1 0.0000 0.2455 0.5000
Ni2 0.0000 0.5000 0.0000
Cl1 0.0853 0.2700 0.8812
Cl2 0.0880 0.5000 0.3912
Cl3 0.0944 0.0000 0.4503
```

Peak list (8 most intense, 15° ≤ 2θ ≤ 90°, by intensity)
Position (°2θ)  I_rel
34.6  100
21.2  81
50.0  77
23.1  70
35.1  58
27.2  48
43.1  34
16.0  30

4.
The following is a computed PXRD pattern of AcPt3Rh4O12. It was derived from DFT lattice parameters and positions (PBE), using Cu Kα, 1.54184 Å.
Lines closer than 0.1° are merged.

Crystal structure
```
data_AcPt3Rh4O12
_cell_length_a 7.7400
_cell_length_b 7.7400
_cell_length_c 7.7400
_cell_angle_alpha 90.00
_cell_angle_beta 90.00
_cell_angle_gamma 90.00
_symmetry_space_group_name_H-M 'I m -3'
_symmetry_Int_Tables_number 204
_symmetry_space_group_name_Hall '-I 2 2 3'
loop_
_atom_site_label
_atom_site_fract_x
_atom_site_fract_y
_atom_site_fract_z
Ac1 0.0000 0.0000 0.0000
Pt1 0.0000 0.0000 0.5000
Rh1 0.2500 0.2500 0.2500
O1 0.0000 0.3052 0.1694
```

Peak list (8 most intense, 15° ≤ 2θ ≤ 90°, by intensity)
Position (°2θ)  I_rel
32.7  100
58.4  45
47.0  22
78.1  18
68.6  13
23.0  10
40.4  6
52.9  5

5.
The following is a computed PXRD pattern of MgZn5. It was derived from DFT lattice parameters and positions (PBE), using Cu Kα, 1.54184 Å.
Lines closer than 0.1° are merged.

Crystal structure
```
data_MgZn5
_cell_length_a 7.2963
_cell_length_b 7.2963
_cell_length_c 7.2963
_cell_angle_alpha 90.00
_cell_angle_beta 90.00
_cell_angle_gamma 90.00
_symmetry_space_group_name_H-M 'F -4 3 m'
_symmetry_Int_Tables_number 216
_symmetry_space_group_name_Hall 'F -4 2 3'
loop_
_atom_site_label
_atom_site_fract_x
_atom_site_fract_y
_atom_site_fract_z
Mg1 0.0000 0.0000 0.0000
Zn1 0.1252 0.1252 0.6252
Zn2 0.2500 0.2500 0.2500
```

Peak list (8 most intense, 15° ≤ 2θ ≤ 90°, by intensity)
Position (°2θ)  I_rel
41.0  100
42.9  53
66.6  29
21.1  27
73.4  26
89.0  18
34.8  16
50.0  11

6.
The following is a computed PXRD pattern of IrSO. It was derived from DFT lattice parameters and positions (PBE), using Cu Kα, 1.54184 Å.
Lines closer than 0.1° are merged.

Crystal structure
```
data_IrSO
_cell_length_a 4.9579
_cell_length_b 3.4367
_cell_length_c 5.1706
_cell_angle_alpha 90.00
_cell_angle_beta 97.78
_cell_angle_gamma 90.00
_symmetry_space_group_name_H-M 'P 1 m 1'
_symmetry_Int_Tables_number 6
loop_
_symmetry_equiv_pos_as_xyz
'x,y,z'
'x,-y,z'
loop_
_atom_site_label
_atom_site_fract_x
_atom_site_fract_y
_atom_site_fract_z
Ir1 0.0000 0.0000 0.0000
Ir2 0.4081 0.5000 0.5225
S1 0.2588 0.5000 0.9116
S2 0.7086 0.0000 0.6161
O1 0.1717 0.0000 0.3759
O2 0.5157 0.5000 0.1322
```

Peak list (8 most intense, 15° ≤ 2θ ≤ 90°, by intensity)
Position (°2θ)  I_rel
31.8  100
23.3  81
31.3  59
26.8  55
35.0  38
50.0  28
46.0  26
50.8  26

7.
The following is a computed PXRD pattern of BaLi4In2Ag. It was derived from DFT lattice parameters and positions (PBE), using Cu Kα, 1.54184 Å.
Lines closer than 0.1° are merged.

Crystal structure
```
data_BaLi4In2Ag
_cell_length_a 4.7367
_cell_length_b 4.7367
_cell_length_c 29.3704
_cell_angle_alpha 90.00
_cell_angle_beta 90.00
_cell_angle_gamma 120.00
_symmetry_space_group_name_H-M 'R -3 m'
_symmetry_Int_Tables_number 166
_symmetry_space_group_name_Hall '-R 3 2"'
loop_
_atom_site_label
_atom_site_fract_x
_atom_site_fract_y
_atom_site_fract_z
Ba1 0.0000 0.0000 0.0000
Li1 0.0000 0.0000 0.1371
Li2 0.0000 0.0000 0.4133
In1 0.0000 0.0000 0.2366
Ag1 0.0000 0.0000 0.5000
```

Peak list (8 most intense, 15° ≤ 2θ ≤ 90°, by intensity)
Position (°2θ)  I_rel
24.9  100
32.7  46
38.0  40
45.9  23
61.1  18
53.9  16
51.0  13
65.3  12

8.
The following is a computed PXRD pattern of Tb2Mn17B2. It was derived from DFT lattice parameters and positions (PBE), using Cu Kα, 1.54184 Å.
Lines closer than 0.1° are merged.

Crystal structure
```
data_Tb2Mn17B2
_cell_length_a 9.6322
_cell_length_b 8.6059
_cell_length_c 6.4518
_cell_angle_alpha 90.00
_cell_angle_beta 98.33
_cell_angle_gamma 90.00
_symmetry_space_group_name_H-M 'C 1 2/m 1'
_symmetry_Int_Tables_number 12
loop_
_symmetry_equiv_pos_as_xyz
'x,y,z'
'-x,-y,-z'
'-x,y,-z'
'x,-y,z'
'x+1/2,y+1/2,z'
'-x+1/2,-y+1/2,-z'
'-x+1/2,y+1/2,-z'
'x+1/2,-y+1/2,z'
loop_
_atom_site_label
_atom_site_fract_x
_atom_site_fract_y
_atom_site_fract_z
Tb1 0.1424 0.0000 0.3445
Mn1 0.0000 0.2250 0.0000
Mn2 0.0000 0.5000 0.5000
Mn3 0.0961 0.2634 0.6649
Mn4 0.1052 0.5000 0.8989
Mn5 0.1408 0.3650 0.2722
Mn6 0.1522 0.0000 0.8671
Mn7 0.2500 0.2500 0.0000
B1 0.2500 0.2500 0.5000
```

Peak list (8 most intense, 15° ≤ 2θ ≤ 90°, by intensity)
Position (°2θ)  I_rel
41.9  100
42.5  57
42.4  56
30.0  54
44.0  51
36.1  50
43.5  42
37.9  37

9.
The following is a computed PXRD pattern of NaPm2SbO5. It was derived from DFT lattice parameters and positions (PBE), using Cu Kα, 1.54184 Å.
Lines closer than 0.1° are merged.

Crystal structure
```
data_NaPm2SbO5
_cell_length_a 6.7798
_cell_length_b 6.7798
_cell_length_c 6.2787
_cell_angle_alpha 90.00
_cell_angle_beta 90.00
_cell_angle_gamma 90.00
_symmetry_space_group_name_H-M 'P 4/m b m'
_symmetry_Int_Tables_number 127
_symmetry_space_group_name_Hall '-P 4 2ab'
loop_
_atom_site_label
_atom_site_fract_x
_atom_site_fract_y
_atom_site_fract_z
Na1 0.0000 0.0000 0.0000
Pm1 0.1769 0.3231 0.5000
Sb1 0.0000 0.5000 0.0000
O1 0.0000 0.0000 0.5000
O2 0.1429 0.6429 0.2605
```

Peak list (8 most intense, 15° ≤ 2θ ≤ 90°, by intensity)
Position (°2θ)  I_rel
30.0  100
32.8  70
41.4  58
18.5  46
28.4  45
44.7  41
29.5  27
51.3  22

10.
The following is a computed PXRD pattern of Ba2LiHPt. It was derived from DFT lattice parameters and positions (PBE), using Cu Kα, 1.54184 Å.
Lines closer than 0.1° are merged.

Crystal structure
```
data_Ba2LiHPt
_cell_length_a 7.2857
_cell_length_b 4.3534
_cell_length_c 8.7638
_cell_angle_alpha 90.00
_cell_angle_beta 110.31
_cell_angle_gamma 90.00
_symmetry_space_group_name_H-M 'P 1 21/m 1'
_symmetry_Int_Tables_number 11
loop_
_symmetry_equiv_pos_as_xyz
'x,y,z'
'-x,-y,-z'
'-x,y+1/2,-z'
'x,-y+1/2,z'
loop_
_atom_site_label
_atom_site_fract_x
_atom_site_fract_y
_atom_site_fract_z
Ba1 0.1857 0.2500 0.4137
Ba2 0.2380 0.2500 0.9492
Li1 0.4435 0.7500 0.2591
H1 0.1681 0.7500 0.1685
Pt1 0.3358 0.7500 0.7141
```

Peak list (8 most intense, 15° ≤ 2θ ≤ 90°, by intensity)
Position (°2θ)  I_rel
29.4  100
23.1  74
29.9  72
26.1  62
33.3  56
34.5  54
35.7  53
41.5  40

11.
The following is a computed PXRD pattern of LaTeO2F. It was derived from DFT lattice parameters and positions (PBE), using Cu Kα, 1.54184 Å.
Lines closer than 0.1° are merged.

Crystal structure
```
data_LaTeO2F
_cell_length_a 4.2565
_cell_length_b 4.2565
_cell_length_c 4.9523
_cell_angle_alpha 90.00
_cell_angle_beta 90.00
_cell_angle_gamma 90.00
_symmetry_space_group_name_H-M 'P 4/m m m'
_symmetry_Int_Tables_number 123
_symmetry_space_group_name_Hall '-P 4 2'
loop_
_atom_site_label
_atom_site_fract_x
_atom_site_fract_y
_atom_site_fract_z
La1 0.0000 0.0000 0.0000
Te1 0.5000 0.5000 0.5000
O1 0.0000 0.5000 0.5000
F1 0.5000 0.5000 0.0000
```

Peak list (8 most intense, 15° ≤ 2θ ≤ 90°, by intensity)
Position (°2θ)  I_rel
27.6  100
29.7  44
51.4  36
42.5  26
47.6  24
57.1  21
36.3  21
60.1  11

12.
The following is a computed PXRD pattern of Sc4AsP2Se. It was derived from DFT lattice parameters and positions (PBE), using Cu Kα, 1.54184 Å.
Lines closer than 0.1° are merged.

Crystal structure
```
data_Sc4AsP2Se
_cell_length_a 6.5948
_cell_length_b 3.8077
_cell_length_c 6.6193
_cell_angle_alpha 90.00
_cell_angle_beta 109.27
_cell_angle_gamma 90.00
_symmetry_space_group_name_H-M 'P 1 2/m 1'
_symmetry_Int_Tables_number 10
loop_
_symmetry_equiv_pos_as_xyz
'x,y,z'
'-x,-y,-z'
'-x,y,-z'
'x,-y,z'
loop_
_atom_site_label
_atom_site_fract_x
_atom_site_fract_y
_atom_site_fract_z
Sc1 0.2399 0.0000 0.2336
Sc2 0.2504 0.5000 0.7621
As1 0.0000 0.0000 0.5000
P1 0.0000 0.5000 0.0000
P2 0.5000 0.0000 0.0000
Se1 0.5000 0.5000 0.5000
```

Peak list (8 most intense, 15° ≤ 2θ ≤ 90°, by intensity)
Position (°2θ)  I_rel
33.2  100
47.8  34
47.6  33
59.4  17
79.6  14
27.5  10
79.3  9
89.0  7

Please write out number 11 again, unchanged.
The following is a computed PXRD pattern of LaTeO2F. It was derived from DFT lattice parameters and positions (PBE), using Cu Kα, 1.54184 Å.
Lines closer than 0.1° are merged.

Crystal structure
```
data_LaTeO2F
_cell_length_a 4.2565
_cell_length_b 4.2565
_cell_length_c 4.9523
_cell_angle_alpha 90.00
_cell_angle_beta 90.00
_cell_angle_gamma 90.00
_symmetry_space_group_name_H-M 'P 4/m m m'
_symmetry_Int_Tables_number 123
_symmetry_space_group_name_Hall '-P 4 2'
loop_
_atom_site_label
_atom_site_fract_x
_atom_site_fract_y
_atom_site_fract_z
La1 0.0000 0.0000 0.0000
Te1 0.5000 0.5000 0.5000
O1 0.0000 0.5000 0.5000
F1 0.5000 0.5000 0.0000
```

Peak list (8 most intense, 15° ≤ 2θ ≤ 90°, by intensity)
Position (°2θ)  I_rel
27.6  100
29.7  44
51.4  36
42.5  26
47.6  24
57.1  21
36.3  21
60.1  11